Li7Cd2Rh2: simulated powder diffraction line list (Cu Ka), based on a DFT-relaxed cell (GGA-PBE, Alexandria).
Peak positions follow from Bragg's law for the DFT cell and can differ from measured ones.

Structure:
a b c (Å): 6.806 7.994 6.903
angles (deg): 90.00 102.40 90.00
Space group C2/m (No. 12)
Symmetry-distinct sites (fractional):
Li (0.000, 0.000, 0.000) [2 per cell]
Li (0.153, 0.000, 0.399) [4 per cell]
Li (0.211, 0.303, 0.172) [8 per cell]
Cd (0.000, 0.310, 0.500) [4 per cell]
Rh (0.097, 0.500, 0.851) [4 per cell]

Peak list (10 most intense, 2θ = 5–70°, low angle first)
Position (°2θ)	I/Imax	index
17.35	100.0	1 1 0
25.91	49.6	0 2 1
26.83	23.1	2 0 0
27.25	30.2	2 0 -1
39.78	64.6	1 3 1
40.12	18.6	0 0 3
40.63	29.2	2 2 -2
41.12	16.6	1 1 -3
41.64	15.7	3 1 -1
43.63	22.1	1 3 -2

---

MnCoCuIr: simulated powder diffraction line list (Cu Ka), based on a DFT-relaxed cell (GGA-PBE, Alexandria).
Peak positions follow from Bragg's law for the DFT cell and can differ from measured ones.

Structure:
a b c (Å): 5.847 5.847 5.847
angles (deg): 90.00 90.00 90.00
Space group F-43m (No. 216)
Symmetry-distinct sites (fractional):
Mn (0.000, 0.000, 0.000) [4 per cell]
Co (0.250, 0.250, 0.250) [4 per cell]
Cu (0.000, 0.000, 0.500) [4 per cell]
Ir (0.250, 0.250, 0.750) [4 per cell]

Peak list (6 most intense, 2θ = 5–70°, low angle first)
Position (°2θ)	I/Imax	index
26.40	29.0	1 1 1
30.58	14.7	2 0 0
43.79	100.0	2 2 0
51.86	14.9	3 1 1
54.35	4.2	2 2 2
63.66	15.8	4 0 0

---

Ca2Zn3InAu12: simulated powder diffraction line list (Cu Ka), based on a DFT-relaxed cell (GGA-PBE, Alexandria).
Peak positions follow from Bragg's law for the DFT cell and can differ from measured ones.

Structure:
a b c (Å): 8.5665 8.5665 19.7202
angles (deg): 90.00 90.00 120.00
Space group R-3m (No. 166, hexagonal axes)
Symmetry-distinct sites (fractional):
Ca (0.0000, 0.0000, 0.1059) [6 per cell]
Zn (0.0000, 0.5000, 0.0000) [9 per cell]
In (0.0000, 0.0000, 0.5000) [3 per cell]
Au (0.0127, 0.5063, 0.3721) [18 per cell]
Au (0.0239, 0.5120, 0.8704) [18 per cell]

Peak list (10 most intense, 2θ = 5–70°, low angle first)
Position (°2θ)	I/Imax	index
20.74	22.8	1 1 0
21.64	28.4	1 0 4
30.15	100.0	0 2 4
33.22	7.8	1 2 2
36.88	16.8	2 1 4
42.20	68.6	2 2 0
44.11	59.9	2 0 8
52.73	19.6	4 0 4
62.69	19.6	0 4 8
69.73	15.7	2 4 4

---

Pm7PrHo3: simulated powder diffraction line list (Cu Ka), based on a DFT-relaxed cell (GGA-PBE, Alexandria).
Peak positions follow from Bragg's law for the DFT cell and can differ from measured ones.

Structure:
a b c (Å): 6.573 6.774 8.763
angles (deg): 99.69 99.01 95.82
Space group P-1 (No. 2)
Symmetry-distinct sites (fractional):
Pm (0.000, 0.000, 0.000) [1 per cell]
Pm (0.054, 0.710, 0.641) [2 per cell]
Pm (0.221, 0.223, 0.710) [2 per cell]
Pm (0.484, 0.739, 0.913) [2 per cell]
Pr (0.000, 0.500, 0.000) [1 per cell]
Ho (0.311, 0.934, 0.338) [2 per cell]
Ho (0.500, 0.500, 0.500) [1 per cell]

Peak list (10 most intense, 2θ = 5–70°, low angle first)
Position (°2θ)	I/Imax	index
26.98	26.7	0 1 2
30.98	27.0	0 2 -2
31.21	61.4	1 2 -1
31.46	100.0	-1 2 1
31.57	26.4	0 0 3
31.76	78.7	2 0 -2
31.93	85.4	2 -1 1
32.18	20.0	1 0 -3
32.88	43.8	1 1 2
34.11	20.0	1 -2 2

---

SmDy3Y2Te6: simulated powder diffraction line list (Cu Ka), based on a DFT-relaxed cell (GGA-PBE, Alexandria).
Peak positions follow from Bragg's law for the DFT cell and can differ from measured ones.

Structure:
a b c (Å): 19.065 4.354 8.789
angles (deg): 90.00 103.34 90.00
Space group C2/m (No. 12)
Symmetry-distinct sites (fractional):
Sm (0.000, 0.000, 0.000) [2 per cell]
Dy (0.000, 0.000, 0.500) [2 per cell]
Dy (0.164, 0.500, 0.833) [4 per cell]
Y (0.165, 0.500, 0.330) [4 per cell]
Te (0.000, 0.500, 0.256) [4 per cell]
Te (0.167, 0.000, 0.584) [4 per cell]
Te (0.170, 0.000, 0.084) [4 per cell]

Peak list (10 most intense, 2θ = 5–70°, low angle first)
Position (°2θ)	I/Imax	index
28.87	100.0	1 1 -2
41.08	12.8	2 0 -4
41.29	50.3	5 1 2
41.48	12.5	0 2 0
50.99	13.6	4 0 4
51.33	13.3	6 2 0
59.81	12.5	2 2 -4
67.46	5.8	3 1 -6
67.76	22.7	4 2 4
68.03	5.7	1 3 -2

---

La3Ir5: simulated powder diffraction line list (Cu Ka), based on a DFT-relaxed cell (GGA-PBE, Alexandria).
Peak positions follow from Bragg's law for the DFT cell and can differ from measured ones.

Structure:
a b c (Å): 5.554 8.183 8.213
angles (deg): 73.03 87.25 87.31
Space group P1 (No. 1)
Symmetry-distinct sites (fractional):
La (0.000, 0.000, 0.000) [1 per cell]
La (0.010, 0.078, 0.524) [1 per cell]
La (0.484, 0.860, 0.303) [1 per cell]
La (0.494, 0.383, 0.385) [1 per cell]
La (0.521, 0.884, 0.790) [1 per cell]
La (0.972, 0.592, 0.501) [1 per cell]
Ir (0.044, 0.749, 0.775) [1 per cell]
Ir (0.230, 0.635, 0.112) [1 per cell]
Ir (0.245, 0.201, 0.185) [1 per cell]
Ir (0.261, 0.273, 0.747) [1 per cell]
Ir (0.449, 0.610, 0.635) [1 per cell]
Ir (0.493, 0.429, 0.955) [1 per cell]
Ir (0.732, 0.650, 0.074) [1 per cell]
Ir (0.745, 0.197, 0.186) [1 per cell]
Ir (0.758, 0.308, 0.733) [1 per cell]
Ir (0.998, 0.428, 0.954) [1 per cell]

Peak list (10 most intense, 2θ = 5–70°, low angle first)
Position (°2θ)	I/Imax	index
11.29	100.0	0 0 1
28.34	21.0	1 0 -2
32.45	25.3	-1 2 2
35.34	57.7	0 3 2
36.85	70.1	0 2 -2
38.51	45.6	2 2 1
39.14	40.2	2 2 0
40.56	70.1	-2 1 2
43.76	19.3	2 1 -2
44.20	18.5	0 1 4

---

SiAg: simulated powder diffraction line list (Cu Ka), based on a DFT-relaxed cell (GGA-PBE, Alexandria).
Peak positions follow from Bragg's law for the DFT cell and can differ from measured ones.

Structure:
a b c (Å): 12.710 2.796 4.221
angles (deg): 90.00 101.27 90.00
Space group C2/m (No. 12)
Symmetry-distinct sites (fractional):
Si (0.095, 0.000, 0.045) [4 per cell]
Ag (0.152, 0.500, 0.582) [4 per cell]

Peak list (10 most intense, 2θ = 5–70°, low angle first)
Position (°2θ)	I/Imax	index
14.21	15.1	2 0 0
21.47	41.0	0 0 1
28.11	34.2	2 0 1
28.65	49.8	4 0 0
32.41	28.3	4 0 -1
38.77	100.0	1 1 -1
42.54	16.9	3 1 -1
46.94	31.6	3 1 1
49.00	14.6	2 0 2
53.05	12.7	6 0 1

---

Ag5Au3S4: simulated powder diffraction line list (Cu Ka), based on a DFT-relaxed cell (GGA-PBE, Alexandria).
Peak positions follow from Bragg's law for the DFT cell and can differ from measured ones.

Structure:
a b c (Å): 4.747 5.712 10.140
angles (deg): 91.80 96.56 93.41
Space group P1 (No. 1)
Symmetry-distinct sites (fractional):
Ag (0.000, 0.000, 0.000) [1 per cell]
Ag (0.013, 0.505, 0.706) [1 per cell]
Ag (0.327, 0.343, 0.377) [1 per cell]
Ag (0.561, 0.044, 0.179) [1 per cell]
Ag (0.699, 0.538, 0.057) [1 per cell]
Au (0.071, 0.811, 0.284) [1 per cell]
Au (0.529, 0.763, 0.801) [1 per cell]
Au (0.639, 0.762, 0.512) [1 per cell]
S (0.217, 0.510, 0.147) [1 per cell]
S (0.483, 0.098, 0.933) [1 per cell]
S (0.496, 0.442, 0.640) [1 per cell]
S (0.835, 0.085, 0.408) [1 per cell]

Peak list (10 most intense, 2θ = 5–70°, low angle first)
Position (°2θ)	I/Imax	index
15.55	100.0	0 1 0
25.91	51.7	1 -1 1
27.76	66.2	1 1 1
30.39	37.7	0 1 -3
30.88	44.7	1 0 -3
34.61	53.1	1 0 3
37.16	63.7	1 -2 1
38.23	42.8	2 0 0
39.71	43.8	0 1 4
40.71	40.8	-2 1 1

---

GaHg15: simulated powder diffraction line list (Cu Ka), based on a DFT-relaxed cell (GGA-PBE, Alexandria).
Peak positions follow from Bragg's law for the DFT cell and can differ from measured ones.

Structure:
a b c (Å): 7.3802 7.3802 9.3662
angles (deg): 90.00 90.00 120.00
Space group P-6m2 (No. 187)
Symmetry-distinct sites (fractional):
Ga (0.0000, 0.0000, 0.0000) [1 per cell]
Hg (0.0000, 0.0000, 0.5000) [1 per cell]
Hg (0.0280, 0.5140, 0.0000) [3 per cell]
Hg (0.3273, 0.1636, 0.2385) [6 per cell]
Hg (0.3333, 0.6667, 0.2751) [2 per cell]
Hg (0.5159, 0.0318, 0.5000) [3 per cell]

Peak list (10 most intense, 2θ = 5–70°, low angle first)
Position (°2θ)	I/Imax	index
27.92	28.2	2 0 0
31.90	3.7	1 0 3
33.96	100.0	2 0 2
38.45	18.5	0 0 4
48.18	11.9	2 0 4
49.40	22.8	2 2 0
57.69	3.6	4 0 0
61.30	17.1	4 0 2
64.28	20.3	2 2 4
66.68	12.3	2 0 6

---

Ga6RuRh: simulated powder diffraction line list (Cu Ka), based on a DFT-relaxed cell (GGA-PBE, Alexandria).
Peak positions follow from Bragg's law for the DFT cell and can differ from measured ones.

Structure:
a b c (Å): 6.7755 6.7755 16.5834
angles (deg): 90.00 90.00 120.00
Space group R-3m (No. 166, hexagonal axes)
Symmetry-distinct sites (fractional):
Ga (0.0010, 0.5005, 0.2498) [18 per cell]
Ru (0.0000, 0.0000, 0.5000) [3 per cell]
Rh (0.0000, 0.0000, 0.0000) [3 per cell]

Peak list (10 most intense, 2θ = 5–70°, low angle first)
Position (°2θ)	I/Imax	index
18.52	100.0	0 1 2
26.31	2.7	1 1 0
32.37	14.0	2 0 2
37.56	54.8	0 2 4
42.19	47.1	1 2 2
46.44	1.1	3 0 0
54.16	37.0	2 2 0
57.74	22.8	3 1 2
64.53	5.4	2 2 6
67.77	12.3	4 0 4

---

TmGa4Cu2Pd: simulated powder diffraction line list (Cu Ka), based on a DFT-relaxed cell (GGA-PBE, Alexandria).
Peak positions follow from Bragg's law for the DFT cell and can differ from measured ones.

Structure:
a b c (Å): 4.1804 4.1804 26.3765
angles (deg): 90.00 90.00 120.00
Space group R-3m (No. 166, hexagonal axes)
Symmetry-distinct sites (fractional):
Tm (0.0000, 0.0000, 0.0000) [3 per cell]
Ga (0.0000, 0.0000, 0.1254) [6 per cell]
Ga (0.0000, 0.0000, 0.3979) [6 per cell]
Cu (0.0000, 0.0000, 0.2450) [6 per cell]
Pd (0.0000, 0.0000, 0.5000) [3 per cell]

Peak list (10 most intense, 2θ = 5–70°, low angle first)
Position (°2θ)	I/Imax	index
25.51	21.8	0 1 2
28.12	11.1	1 0 4
29.93	7.1	0 1 5
34.35	8.9	1 0 7
36.87	100.0	0 1 8
42.40	14.6	1 0 10
43.29	83.5	1 1 0
58.14	25.8	2 0 8
61.19	9.2	1 1 12
61.84	11.1	1 0 16

---

Nd2In3: simulated powder diffraction line list (Cu Ka), based on a DFT-relaxed cell (GGA-PBE, Alexandria).
Peak positions follow from Bragg's law for the DFT cell and can differ from measured ones.

Structure:
a b c (Å): 7.811 7.811 4.626
angles (deg): 90.00 90.00 90.00
Space group P4/m (No. 83)
Symmetry-distinct sites (fractional):
Nd (0.126, 0.698, 0.000) [4 per cell]
In (0.000, 0.000, 0.500) [1 per cell]
In (0.195, 0.404, 0.500) [4 per cell]
In (0.500, 0.500, 0.000) [1 per cell]

Peak list (10 most intense, 2θ = 5–70°, low angle first)
Position (°2θ)	I/Imax	index
25.50	1.3	2 1 0
29.94	1.4	2 0 1
32.11	100.0	1 2 1
36.37	34.4	3 1 0
38.94	15.1	0 0 2
52.38	11.1	2 4 0
54.34	21.2	3 1 2
62.78	25.0	5 0 1
66.25	12.0	1 2 3
67.16	10.4	2 4 2

---

BH11AuC4IN2: simulated powder diffraction line list (Cu Ka), based on a DFT-relaxed cell (GGA-PBE, Alexandria).
Peak positions follow from Bragg's law for the DFT cell and can differ from measured ones.

Structure:
a b c (Å): 6.273 9.791 10.251
angles (deg): 62.08 80.03 80.04
Space group P-1 (No. 2)
Symmetry-distinct sites (fractional):
B (0.104, 0.208, 0.239) [2 per cell]
H (0.014, 0.979, 0.189) [2 per cell]
H (0.044, 0.151, 0.016) [2 per cell]
H (0.119, 0.600, 0.004) [2 per cell]
H (0.183, 0.078, 0.318) [2 per cell]
H (0.195, 0.001, 0.596) [2 per cell]
H (0.217, 0.924, 0.914) [2 per cell]
H (0.218, 0.273, 0.124) [2 per cell]
H (0.272, 0.582, 0.847) [2 per cell]
H (0.318, 0.816, 0.611) [2 per cell]
H (0.379, 0.673, 0.935) [2 per cell]
H (0.423, 0.905, 0.701) [2 per cell]
Au (0.000, 0.500, 0.500) [1 per cell]
Au (0.500, 0.500, 0.500) [1 per cell]
C (0.040, 0.376, 0.389) [2 per cell]
C (0.067, 0.908, 0.884) [2 per cell]
C (0.231, 0.655, 0.904) [2 per cell]
C (0.275, 0.888, 0.668) [2 per cell]
I (0.485, 0.270, 0.768) [2 per cell]
N (0.061, 0.304, 0.323) [2 per cell]
N (0.122, 0.810, 0.804) [2 per cell]

Peak list (10 most intense, 2θ = 5–70°, low angle first)
Position (°2θ)	I/Imax	index
9.82	52.6	0 0 1
10.28	63.3	0 1 0
10.53	100.0	0 1 1
18.40	31.7	0 2 1
21.16	34.1	0 2 2
22.49	19.6	1 1 -1
28.86	21.6	2 1 1
29.07	16.6	2 0 0
29.74	14.9	0 0 3
31.96	16.5	0 3 3